[1]
The following is a computed X-ray powder pattern of CeEr2Si2Pt7. It was derived from a cell relaxed with PBE, using λ = 1.5418 Å (Cu Kα).
Lines closer than 0.1° are merged.

Atomic structure:
```
data_CeEr2Si2Pt7
_symmetry_space_group_name_H-M 'C 1 2/m 1'
_symmetry_Int_Tables_number 12
_cell_length_a 5.7580
_cell_length_b 5.6811
_cell_length_c 13.8967
_cell_angle_alpha 90.00
_cell_angle_beta 98.87
_cell_angle_gamma 90.00
loop_
_symmetry_equiv_pos_as_xyz
'x,y,z'
'-x,-y,-z'
'-x,y,-z'
'x,-y,z'
'x+1/2,y+1/2,z'
'-x+1/2,-y+1/2,-z'
'-x+1/2,y+1/2,-z'
'x+1/2,-y+1/2,z'
loop_
_atom_site_label
_atom_site_type_symbol
_atom_site_fract_x
_atom_site_fract_y
_atom_site_fract_z
Ce1 Ce 0.0000 0.0000 0.0000
Er1 Er 0.1212 0.0000 0.3597
Si1 Si 0.1013 0.5000 0.2617
Pt1 Pt 0.0000 0.5000 0.0000
Pt2 Pt 0.1378 0.5000 0.4302
Pt3 Pt 0.1844 0.2503 0.8338
```

Peak list (6 most intense, 15° ≤ 2θ ≤ 90°, in order of rising 2θ)
2θ (°)	I (rel.)	index
32.2	47.7	0 2 1
34.2	51.8	0 2 2
34.5	66.0	2 0 -3
36.0	87.0	2 0 2
37.3	100.0	0 2 3
44.9	89.0	2 2 -1

=====

[2]
The following is a computed X-ray powder pattern of U2SnAu2Se2. It was derived from a cell relaxed with PBE, using λ = 1.5418 Å (Cu Kα).
Lines closer than 0.1° are merged.

Atomic structure:
```
data_U2SnAu2Se2
_symmetry_space_group_name_H-M 'P -3 m 1'
_symmetry_Int_Tables_number 164
_symmetry_space_group_name_Hall '-P 3 2"'
_cell_length_a 3.8188
_cell_length_b 3.8188
_cell_length_c 16.4699
_cell_angle_alpha 90.00
_cell_angle_beta 90.00
_cell_angle_gamma 120.00
loop_
_atom_site_label
_atom_site_type_symbol
_atom_site_fract_x
_atom_site_fract_y
_atom_site_fract_z
U1 U 0.3333 0.6667 0.2097
Sn1 Sn 0.0000 0.0000 0.5000
Au1 Au 0.0000 0.0000 0.3330
Se1 Se 0.3333 0.6667 0.8944
```

Peak list (6 most intense, 15° ≤ 2θ ≤ 90°, in order of rising 2θ)
2θ (°)	I (rel.)	index
27.5	100.0	1 0 1
31.6	97.1	1 0 3
34.8	34.1	0 1 4
38.6	34.8	1 0 5
42.8	65.2	0 1 6
47.6	52.6	1 1 0

=====

[3]
The following is a computed X-ray powder pattern of LiPm2PdO5. It was derived from a cell relaxed with PBE, using λ = 1.5418 Å (Cu Kα).
Lines closer than 0.1° are merged.

Atomic structure:
```
data_LiPm2PdO5
_symmetry_space_group_name_H-M 'P 4/m b m'
_symmetry_Int_Tables_number 127
_symmetry_space_group_name_Hall '-P 4 2ab'
_cell_length_a 6.7306
_cell_length_b 6.7306
_cell_length_c 5.8110
_cell_angle_alpha 90.00
_cell_angle_beta 90.00
_cell_angle_gamma 90.00
loop_
_atom_site_label
_atom_site_type_symbol
_atom_site_fract_x
_atom_site_fract_y
_atom_site_fract_z
Li1 Li 0.0000 0.0000 0.0000
Pm1 Pm 0.1743 0.3257 0.5000
Pd1 Pd 0.0000 0.5000 0.0000
O1 O 0.0000 0.0000 0.5000
O2 O 0.1381 0.6381 0.2536
```

Peak list (6 most intense, 15° ≤ 2θ ≤ 90°, in order of rising 2θ)
2θ (°)	I (rel.)	index
15.2	51.4	0 0 1
18.6	52.6	1 1 0
30.7	100.0	0 0 2
33.5	68.7	2 1 1
43.3	51.0	2 1 2
45.4	41.9	3 1 1

=====

[4]
The following is a computed X-ray powder pattern of AcPr8Ho6. It was derived from a cell relaxed with PBE, using λ = 1.5418 Å (Cu Kα).
Lines closer than 0.1° are merged.

Atomic structure:
```
data_AcPr8Ho6
_symmetry_space_group_name_H-M 'P -3'
_symmetry_Int_Tables_number 147
_cell_length_a 9.5981
_cell_length_b 9.5981
_cell_length_c 6.7196
_cell_angle_alpha 90.00
_cell_angle_beta 90.00
_cell_angle_gamma 120.00
loop_
_symmetry_equiv_pos_as_xyz
'x,y,z'
'-x,-y,-z'
'-y,x-y,z'
'y,-x+y,-z'
'-x+y,-x,z'
'x-y,x,-z'
loop_
_atom_site_label
_atom_site_type_symbol
_atom_site_fract_x
_atom_site_fract_y
_atom_site_fract_z
Ac1 Ac 0.0000 0.0000 0.0000
Pr1 Pr 0.0094 0.3203 0.3861
Pr2 Pr 0.3333 0.6667 0.6700
Ho1 Ho 0.0866 0.6735 0.1099
```

Peak list (6 most intense, 15° ≤ 2θ ≤ 90°, in order of rising 2θ)
2θ (°)	I (rel.)	index
25.2	42.5	0 2 1
28.4	24.4	2 1 0
31.4	80.5	2 1 1
32.3	74.4	3 0 0
32.5	100.0	2 -1 2
49.7	26.2	5 -2 1

=====

[5]
The following is a computed X-ray powder pattern of HgPd4Au7. It was derived from a cell relaxed with PBE, using λ = 1.5418 Å (Cu Kα).
Lines closer than 0.1° are merged.

Atomic structure:
```
data_HgPd4Au7
_symmetry_space_group_name_H-M 'C 1 2/m 1'
_symmetry_Int_Tables_number 12
_cell_length_a 10.4495
_cell_length_b 5.1021
_cell_length_c 10.0084
_cell_angle_alpha 90.00
_cell_angle_beta 120.76
_cell_angle_gamma 90.00
loop_
_symmetry_equiv_pos_as_xyz
'x,y,z'
'-x,-y,-z'
'-x,y,-z'
'x,-y,z'
'x+1/2,y+1/2,z'
'-x+1/2,-y+1/2,-z'
'-x+1/2,y+1/2,-z'
'x+1/2,-y+1/2,z'
loop_
_atom_site_label
_atom_site_type_symbol
_atom_site_fract_x
_atom_site_fract_y
_atom_site_fract_z
Hg1 Hg 0.0000 0.0000 0.0000
Pd1 Pd 0.0875 0.5000 0.3141
Pd2 Pd 0.1897 0.0000 0.7693
Au1 Au 0.0000 0.5000 0.0000
Au2 Au 0.1110 0.0000 0.4530
Au3 Au 0.1602 0.5000 0.6203
Au4 Au 0.2097 0.5000 0.9156
```

Peak list (6 most intense, 15° ≤ 2θ ≤ 90°, in order of rising 2θ)
2θ (°)	I (rel.)	index
35.2	100.0	0 2 0
35.8	90.3	4 0 -1
41.1	93.6	3 1 -4
41.6	78.2	1 1 3
51.1	69.0	4 2 -1
67.5	35.7	1 3 3

=====

[6]
The following is a computed X-ray powder pattern of Ac4IrRhI2. It was derived from a cell relaxed with PBE, using λ = 1.5418 Å (Cu Kα).
Lines closer than 0.1° are merged.

Atomic structure:
```
data_Ac4IrRhI2
_symmetry_space_group_name_H-M 'P 1 2/m 1'
_symmetry_Int_Tables_number 10
_cell_length_a 7.5924
_cell_length_b 4.3857
_cell_length_c 9.0157
_cell_angle_alpha 90.00
_cell_angle_beta 106.19
_cell_angle_gamma 90.00
loop_
_symmetry_equiv_pos_as_xyz
'x,y,z'
'-x,-y,-z'
'-x,y,-z'
'x,-y,z'
loop_
_atom_site_label
_atom_site_type_symbol
_atom_site_fract_x
_atom_site_fract_y
_atom_site_fract_z
Ac1 Ac 0.2264 0.0000 0.1842
Ac2 Ac 0.2707 0.5000 0.8156
Ir1 Ir 0.0000 0.5000 0.0000
Rh1 Rh 0.5000 0.0000 0.0000
I1 I 0.0000 0.0000 0.5000
I2 I 0.5000 0.5000 0.5000
```

Peak list (6 most intense, 15° ≤ 2θ ≤ 90°, in order of rising 2θ)
2θ (°)	I (rel.)	index
27.2	100.0	2 0 -2
33.8	20.0	1 1 2
36.4	24.8	1 1 -3
41.2	40.4	0 2 0
50.1	19.2	2 2 -2
66.8	16.3	5 1 -3

=====

[7]
The following is a computed X-ray powder pattern of PmGe2Au2. It was derived from a cell relaxed with PBE, using λ = 1.5418 Å (Cu Kα).
Lines closer than 0.1° are merged.

Atomic structure:
```
data_PmGe2Au2
_symmetry_space_group_name_H-M 'F m m m'
_symmetry_Int_Tables_number 69
_symmetry_space_group_name_Hall '-F 2 2'
_cell_length_a 6.2276
_cell_length_b 6.3566
_cell_length_c 10.5058
_cell_angle_alpha 90.00
_cell_angle_beta 90.00
_cell_angle_gamma 90.00
loop_
_atom_site_label
_atom_site_type_symbol
_atom_site_fract_x
_atom_site_fract_y
_atom_site_fract_z
Pm1 Pm 0.0000 0.0000 0.0000
Ge1 Ge 0.0000 0.0000 0.3831
Au1 Au 0.2500 0.2500 0.2500
```

Peak list (6 most intense, 15° ≤ 2θ ≤ 90°, in order of rising 2θ)
2θ (°)	I (rel.)	index
16.9	41.6	0 0 2
32.5	37.0	1 1 3
32.9	100.0	0 2 2
33.5	96.0	2 0 2
40.6	87.9	2 2 0
68.7	28.7	2 4 2

=====

[8]
The following is a computed X-ray powder pattern of Cu14NiPt. It was derived from a cell relaxed with PBE, using λ = 1.5418 Å (Cu Kα).
Lines closer than 0.1° are merged.

Atomic structure:
```
data_Cu14NiPt
_symmetry_space_group_name_H-M 'A m m 2'
_symmetry_Int_Tables_number 38
_cell_length_a 8.4155
_cell_length_b 5.2068
_cell_length_c 8.8639
_cell_angle_alpha 90.00
_cell_angle_beta 90.00
_cell_angle_gamma 90.00
loop_
_symmetry_equiv_pos_as_xyz
'x,y,z'
'-x,-y,z'
'-x,y,z'
'x,-y,z'
'x,y+1/2,z+1/2'
'-x,-y+1/2,z+1/2'
'-x,y+1/2,z+1/2'
'x,-y+1/2,z+1/2'
loop_
_atom_site_label
_atom_site_type_symbol
_atom_site_fract_x
_atom_site_fract_y
_atom_site_fract_z
Cu1 Cu 0.0000 0.0000 0.0000
Cu2 Cu 0.0000 0.0000 0.4998
Cu3 Cu 0.0000 0.2486 0.2490
Cu4 Cu 0.2457 0.0000 0.6661
Cu5 Cu 0.2467 0.2460 0.4176
Cu6 Cu 0.2509 0.0000 0.1678
Cu7 Cu 0.5000 0.2494 0.5863
Ni1 Ni 0.5000 0.0000 0.3374
Pt1 Pt 0.5000 0.0000 0.8367
```

Peak list (6 most intense, 15° ≤ 2θ ≤ 90°, in order of rising 2θ)
2θ (°)	I (rel.)	index
41.6	54.0	1 2 2
42.2	28.1	1 0 4
43.0	55.0	4 0 0
45.8	100.0	2 2 2
46.3	43.8	2 0 4
52.2	26.9	3 2 2